# BaTiMn2Si2O10
Calculated powder XRD pattern, a wavelength of 1.5418 Å. Input: a structure optimized by DFT (GGA+U).
Intensities are scaled so that the largest is 1000.

The 10 most intense peaks (10 to 90 degrees two-theta), in order of falling intensity:
- hkl 1 2 1, d = 2.782 Å, 2θ = 32.2°, I = 1000
- hkl 1 2 3, d = 2.254 Å, 2θ = 40.0°, I = 565
- hkl 2 0 -1, d = 2.660 Å, 2θ = 33.7°, I = 544
- hkl 1 0 -3, d = 3.233 Å, 2θ = 27.6°, I = 541
- hkl 0 2 2, d = 2.953 Å, 2θ = 30.3°, I = 528
- hkl 0 0 3, d = 3.791 Å, 2θ = 23.5°, I = 503
- hkl 1 2 -2, d = 2.638 Å, 2θ = 34.0°, I = 498
- hkl 0 2 1, d = 3.307 Å, 2θ = 27.0°, I = 494
- hkl 0 1 4, d = 2.629 Å, 2θ = 34.1°, I = 432
- hkl 1 1 2, d = 3.287 Å, 2θ = 27.1°, I = 411

Atomic structure:
```
BaTiMn2Si2O10
1.0
5.3765 0.0000 0.0000
0.0000 6.9125 0.0000
-1.0161 0.0000 11.3728
Ba Ti Mn Si O
2 2 4 4 20
Direct
0.2357 0.2500 0.0691
0.7643 0.7500 0.9309
0.2781 0.7500 0.1666
0.7219 0.2500 0.8334
0.0038 0.2500 0.5003
0.5000 0.0000 0.5000
0.5000 0.5000 0.5000
0.9962 0.7500 0.4997
0.2045 0.5196 0.7452
0.2045 0.9804 0.7452
0.7955 0.0196 0.2548
0.7955 0.4804 0.2548
0.0053 0.5620 0.1737
0.0053 0.9380 0.1737
0.1501 0.0115 0.6014
0.1501 0.4885 0.6014
0.1857 0.7500 0.7657
0.2939 0.7500 0.0164
0.3065 0.7500 0.4322
0.3127 0.2500 0.4312
0.4868 0.0449 0.7893
0.4868 0.4551 0.7893
0.5132 0.5449 0.2107
0.5132 0.9551 0.2107
0.6873 0.7500 0.5688
0.6935 0.2500 0.5678
0.7061 0.2500 0.9836
0.8143 0.2500 0.2343
0.8499 0.5115 0.3986
0.8499 0.9885 0.3986
0.9947 0.0620 0.8263
0.9947 0.4380 0.8263
```